(1)
Diffraction record for PmZn3. The powder diffractogram is theoretical, not measured: it uses a GGA-PBE-relaxed structure and Cu Kα X-rays.
Kinematic intensities with the Lorentz-polarization factor, no thermal factor.

Structure:
Cell lengths 6.438, 6.438, 4.452 Å; angles 90.00, 90.00, 120.00 degrees
Sites, in units of the cell vectors:
1 Pm 0.333 0.667 0.250
2 Pm 0.667 0.333 0.750
3 Zn 0.146 0.293 0.750
4 Zn 0.146 0.854 0.750
5 Zn 0.293 0.146 0.250
6 Zn 0.707 0.854 0.750
7 Zn 0.854 0.146 0.250
8 Zn 0.854 0.707 0.250

The 10 most intense peaks (2θ = 10–90°), low angle first:
- 2θ = 25.61°, rel. 21.1
- 2θ = 27.71°, rel. 9.3
- 2θ = 32.11°, rel. 26.2
- 2θ = 38.09°, rel. 100.0
- 2θ = 40.53°, rel. 20.1
- 2θ = 52.62°, rel. 12.6
- 2θ = 57.24°, rel. 16.8
- 2θ = 70.84°, rel. 11.6
- 2θ = 72.11°, rel. 14.4
- 2θ = 72.47°, rel. 16.2

(2)
Diffraction record for Pm3Zr. The powder diffractogram is theoretical, not measured: it uses a GGA-PBE-relaxed structure and Cu Kα X-rays.
Kinematic intensities with the Lorentz-polarization factor, no thermal factor.

Structure:
Cell lengths 7.103, 7.103, 5.745 Å; angles 90.00, 90.00, 120.00 degrees
Sites, in units of the cell vectors:
1 Pm 0.172 0.344 0.250
2 Pm 0.172 0.828 0.250
3 Pm 0.344 0.172 0.750
4 Pm 0.656 0.828 0.250
5 Pm 0.828 0.172 0.750
6 Pm 0.828 0.656 0.750
7 Zr 0.333 0.667 0.750
8 Zr 0.667 0.333 0.250

The 10 most intense peaks (2θ = 10–90°), low angle first:
- 2θ = 29.03°, rel. 23.4
- 2θ = 31.14°, rel. 26.2
- 2θ = 33.03°, rel. 100.0
- 2θ = 43.09°, rel. 16.0
- 2θ = 51.46°, rel. 18.7
- 2θ = 56.62°, rel. 21.3
- 2θ = 61.38°, rel. 21.9
- 2θ = 62.52°, rel. 15.4
- 2θ = 85.15°, rel. 12.9
- 2θ = 87.31°, rel. 8.4

(3)
Diffraction record for Pm3Zr. The powder diffractogram is theoretical, not measured: it uses a GGA-PBE-relaxed structure and Cu Kα X-rays.
Kinematic intensities with the Lorentz-polarization factor, no thermal factor.

Structure:
Cell lengths 6.093, 6.093, 6.093 Å; angles 131.66, 131.66, 70.76 degrees
Sites, in units of the cell vectors:
1 Pm 0.000 0.000 0.000
2 Pm 0.250 0.750 0.500
3 Pm 0.750 0.250 0.500
4 Zr 0.500 0.500 0.000

The 10 most intense peaks (2θ = 10–90°), low angle first:
- 2θ = 31.09°, rel. 100.0
- 2θ = 36.00°, rel. 33.7
- 2θ = 36.16°, rel. 16.6
- 2θ = 51.83°, rel. 11.9
- 2θ = 51.95°, rel. 23.5
- 2θ = 61.68°, rel. 28.0
- 2θ = 61.90°, rel. 13.8
- 2θ = 64.82°, rel. 12.0
- 2θ = 84.89°, rel. 11.5
- 2θ = 87.46°, rel. 10.8

(4)
Diffraction record for PmZr. The powder diffractogram is theoretical, not measured: it uses a GGA-PBE-relaxed structure and Cu Kα X-rays.
Kinematic intensities with the Lorentz-polarization factor, no thermal factor.

Structure:
Cell lengths 3.401, 3.401, 5.568 Å; angles 90.00, 90.00, 120.00 degrees
Sites, in units of the cell vectors:
1 Pm 0.000 0.000 0.000
2 Zr 0.667 0.333 0.500

The 10 most intense peaks (2θ = 10–90°), low angle first:
- 2θ = 30.35°, rel. 26.4
- 2θ = 32.15°, rel. 26.3
- 2θ = 34.45°, rel. 100.0
- 2θ = 44.79°, rel. 18.1
- 2θ = 53.92°, rel. 18.0
- 2θ = 58.81°, rel. 21.1
- 2θ = 64.18°, rel. 21.1
- 2θ = 65.57°, rel. 15.1
- 2θ = 83.86°, rel. 7.7
- 2θ = 89.85°, rel. 13.3

(5)
Diffraction record for Pr. The powder diffractogram is theoretical, not measured: it uses a GGA-PBE-relaxed structure and Cu Kα X-rays.
Kinematic intensities with the Lorentz-polarization factor, no thermal factor.

Structure:
Cell lengths 3.624, 3.624, 3.624 Å; angles 105.64, 105.64, 117.43 degrees
Sites, in units of the cell vectors:
1 Pr 0.000 0.000 0.000

The 10 most intense peaks (2θ = 10–90°), low angle first:
- 2θ = 28.82°, rel. 62.2
- 2θ = 31.33°, rel. 100.0
- 2θ = 41.22°, rel. 23.7
- 2θ = 52.67°, rel. 46.3
- 2θ = 57.28°, rel. 18.0
- 2θ = 65.37°, rel. 12.0
- 2θ = 67.63°, rel. 10.9
- 2θ = 68.98°, rel. 10.2
- 2θ = 83.64°, rel. 12.2
- 2θ = 87.42°, rel. 11.1

(6)
Diffraction record for Pr. The powder diffractogram is theoretical, not measured: it uses a GGA-PBE-relaxed structure and Cu Kα X-rays.
Kinematic intensities with the Lorentz-polarization factor, no thermal factor.

Structure:
Cell lengths 3.711, 3.711, 18.376 Å; angles 90.00, 90.00, 120.00 degrees
Sites, in units of the cell vectors:
1 Pr 0.008 0.688 0.417
2 Pr 0.312 0.320 0.750
3 Pr 0.320 0.312 0.250
4 Pr 0.680 0.992 0.084
5 Pr 0.688 0.008 0.583
6 Pr 0.992 0.680 0.916

The 10 most intense peaks (2θ = 10–90°), low angle first:
- 2θ = 29.16°, rel. 34.4
- 2θ = 29.44°, rel. 100.0
- 2θ = 34.05°, rel. 68.1
- 2θ = 48.73°, rel. 24.8
- 2θ = 49.10°, rel. 23.7
- 2θ = 57.80°, rel. 14.9
- 2θ = 58.13°, rel. 28.6
- 2θ = 58.29°, rel. 14.3
- 2θ = 61.10°, rel. 12.4
- 2θ = 79.61°, rel. 11.3

(7)
Diffraction record for Pr. The powder diffractogram is theoretical, not measured: it uses a GGA-PBE-relaxed structure and Cu Kα X-rays.
Kinematic intensities with the Lorentz-polarization factor, no thermal factor.

Structure:
Cell lengths 3.713, 3.713, 9.065 Å; angles 90.00, 90.00, 120.00 degrees
Sites, in units of the cell vectors:
1 Pr 0.000 0.319 0.333
2 Pr 0.319 0.000 0.667
3 Pr 0.681 0.681 0.000

The 10 most intense peaks (2θ = 10–90°), low angle first:
- 2θ = 29.49°, rel. 100.0
- 2θ = 34.19°, rel. 50.7
- 2θ = 49.07°, rel. 18.1
- 2θ = 49.18°, rel. 18.2
- 2θ = 58.32°, rel. 32.3
- 2θ = 58.44°, rel. 10.8
- 2θ = 61.16°, rel. 9.4
- 2θ = 79.58°, rel. 8.7
- 2θ = 82.10°, rel. 8.0
- 2θ = 82.27°, rel. 8.0

(8)
Diffraction record for Pr. The powder diffractogram is theoretical, not measured: it uses a GGA-PBE-relaxed structure and Cu Kα X-rays.
Kinematic intensities with the Lorentz-polarization factor, no thermal factor.

Structure:
Cell lengths 3.615, 3.615, 3.615 Å; angles 109.47, 109.47, 109.47 degrees
Sites, in units of the cell vectors:
1 Pr 0.000 0.000 0.000

The 7 most intense peaks (2θ = 10–90°), low angle first:
- 2θ = 30.28°, rel. 100.0
- 2θ = 43.35°, rel. 18.7
- 2θ = 53.79°, rel. 39.7
- 2θ = 62.98°, rel. 12.3
- 2θ = 71.46°, rel. 16.9
- 2θ = 79.54°, rel. 4.2
- 2θ = 87.42°, rel. 20.4